No. 1
Pr3NbO7: computed XRD peak list (Cu Kα, 1.54184 Å), based on a cell relaxed with GGA-PBE.
Lines closer than 0.1° are merged.

Principal peaks in the range 15° ≤ 2θ ≤ 90°, by angle:
3.419 Å, I 109, hkl 0 2 1
3.189 Å, I 1000, hkl 2 0 2
3.139 Å, I 886, hkl 2 2 0
2.911 Å, I 118, hkl 2 2 1
2.777 Å, I 210, hkl 4 0 0
2.722 Å, I 404, hkl 0 2 2
1.948 Å, I 186, hkl 0 0 4
1.944 Å, I 481, hkl 4 2 2
1.672 Å, I 109, hkl 6 0 2
1.655 Å, I 267, hkl 2 2 4
1.634 Å, I 157, hkl 2 4 2
1.265 Å, I 135, hkl 2 0 6

Crystal structure
Lattice parameters (Å, degrees): 11.1075 7.6085 7.7912 90.00 90.00 90.00
Space group Cmcm (No. 63)
Asymmetric unit:
1 Pr 0.0000 0.0000 0.0000 x4
2 Pr 0.2255 0.2964 0.2500 x8
3 Nb 0.0000 0.5000 0.0000 x4
4 O 0.0000 0.4310 0.2500 x4
5 O 0.1263 0.3125 0.5345 x16
6 O 0.1311 0.0228 0.2500 x8

***

No. 2
PrNbO3: computed XRD peak list (Cu Kα, 1.54184 Å), based on a cell relaxed with GGA-PBE.
Lines closer than 0.1° are merged.

Principal peaks in the range 15° ≤ 2θ ≤ 90°, by angle:
4.087 Å, I 17, hkl 1 0 0
2.890 Å, I 1000, hkl 1 1 0
2.360 Å, I 71, hkl 1 1 1
2.043 Å, I 305, hkl 2 0 0
1.828 Å, I 12, hkl 2 1 0
1.668 Å, I 398, hkl 2 1 1
1.445 Å, I 186, hkl 2 2 0
1.362 Å, I 7, hkl 3 0 0
1.292 Å, I 170, hkl 3 1 0
1.232 Å, I 21, hkl 3 1 1
1.180 Å, I 62, hkl 2 2 2
1.092 Å, I 210, hkl 3 2 1

Crystal structure
Lattice parameters (Å, degrees): 4.0869 4.0869 4.0869 90.00 90.00 90.00
Space group Pm-3m (No. 221)
Asymmetric unit:
1 Pr 0.0000 0.0000 0.0000 x1
2 Nb 0.5000 0.5000 0.5000 x1
3 O 0.0000 0.5000 0.5000 x3

***

No. 3
RbPrNb2O7: computed XRD peak list (Cu Kα, 1.54184 Å), based on a cell relaxed with GGA-PBE.
Lines closer than 0.1° are merged.

Principal peaks in the range 15° ≤ 2θ ≤ 90°, by angle:
3.222 Å, I 1000, hkl 1 4 1
2.811 Å, I 82, hkl 0 8 0
2.786 Å, I 190, hkl 0 0 2
2.773 Å, I 191, hkl 2 0 0
2.712 Å, I 111, hkl 1 6 1
2.286 Å, I 69, hkl 1 8 1
1.979 Å, I 92, hkl 0 8 2
1.974 Å, I 94, hkl 2 8 0
1.966 Å, I 234, hkl 2 0 2
1.681 Å, I 142, hkl 1 4 3
1.675 Å, I 147, hkl 3 4 1
1.611 Å, I 63, hkl 2 8 2

Crystal structure
Lattice parameters (Å, degrees): 5.5459 22.4863 5.5728 90.00 90.00 90.00
Space group Imma (No. 74)
Asymmetric unit:
1 Rb 0.0000 0.0000 0.0000 x4
2 Pr 0.0000 0.2500 0.0210 x4
3 Nb 0.0000 0.1473 0.5021 x8
4 O 0.0000 0.0670 0.4963 x8
5 O 0.0000 0.2500 0.4741 x4
6 O 0.2500 0.1660 0.2500 x8
7 O 0.2500 0.1685 0.7500 x8

***

No. 4
Pr2ScNbO7: computed XRD peak list (Cu Kα, 1.54184 Å), based on a cell relaxed with GGA-PBE.
Lines closer than 0.1° are merged.

Principal peaks in the range 15° ≤ 2θ ≤ 90°, by angle:
3.104 Å, I 998, hkl 0 2 2
3.074 Å, I 1000, hkl 2 0 2
2.675 Å, I 595, hkl 2 2 0
1.906 Å, I 174, hkl 0 4 0
1.892 Å, I 652, hkl 2 2 4
1.878 Å, I 152, hkl 4 0 0
1.620 Å, I 293, hkl 2 4 2
1.615 Å, I 141, hkl 0 2 6
1.611 Å, I 144, hkl 2 0 6
1.607 Å, I 278, hkl 4 2 2
1.338 Å, I 138, hkl 0 0 8
1.196 Å, I 180, hkl 4 4 4

Crystal structure
Lattice parameters (Å, degrees): 7.5114 7.6221 10.7001 90.00 90.00 90.00
Space group Imma (No. 74)
Asymmetric unit:
1 Pr 0.0000 0.0000 0.0000 x4
2 Pr 0.2500 0.2500 0.2500 x4
3 Sc 0.2500 0.2500 0.7500 x4
4 Nb 0.0000 0.0000 0.5000 x4
5 O 0.0000 0.2500 0.1272 x4
6 O 0.0000 0.2500 0.4297 x4
7 O 0.0000 0.2500 0.8420 x4
8 O 0.1973 0.0367 0.6242 x16

***

No. 5
RbNbO3: computed XRD peak list (Cu Kα, 1.54184 Å), based on a cell relaxed with GGA-PBE.
Lines closer than 0.1° are merged.

Principal peaks in the range 15° ≤ 2θ ≤ 90°, by angle:
3.487 Å, I 1000, hkl 1 1 -2
3.327 Å, I 677, hkl 1 -1 2
3.281 Å, I 930, hkl 1 -2 0
3.130 Å, I 533, hkl 0 1 2
2.938 Å, I 529, hkl 1 2 0
2.799 Å, I 316, hkl 0 3 -2
2.568 Å, I 228, hkl 2 0 0
2.509 Å, I 163, hkl 1 -2 3
2.273 Å, I 145, hkl 0 2 -4
2.120 Å, I 339, hkl -2 1 2
1.827 Å, I 155, hkl -1 3 2
1.640 Å, I 152, hkl 2 -4 0

Crystal structure
Lattice parameters (Å, degrees): 5.1807 8.6202 9.1666 115.04 93.48 94.48
Space group P-1 (No. 2)
Asymmetric unit:
1 Rb 0.0000 0.0000 0.0000 x1
2 Rb 0.0000 0.0000 0.5000 x1
3 Rb 0.4096 0.7025 0.0966 x2
4 Nb 0.0256 0.5115 0.3148 x2
5 Nb 0.4978 0.2835 0.3551 x2
6 O 0.0969 0.3915 0.8132 x2
7 O 0.2181 0.7185 0.7745 x2
8 O 0.2374 0.4242 0.5083 x2
9 O 0.2802 0.7164 0.4609 x2
10 O 0.2941 0.3745 0.2049 x2
11 O 0.3502 0.0607 0.2680 x2